Computed powder XRD pattern of CdCuSi for Cu Kα, from the PBE geometry in Alexandria.

Cell and atoms:
```
data_CdCuSi
_chemical_formula_sum 'Cd2 Cu2 Si2'
_symmetry_space_group_name_H-M 'P 1'
_symmetry_Int_Tables_number 1
_cell_length_a 5.0509
_cell_length_b 3.8630
_cell_length_c 5.4547
_cell_angle_alpha 90.00
_cell_angle_beta 103.11
_cell_angle_gamma 90.00
loop_
_symmetry_equiv_pos_as_xyz
'x,y,z'
loop_
_atom_site_label
_atom_site_type_symbol
_atom_site_fract_x
_atom_site_fract_y
_atom_site_fract_z
_atom_site_occupancy
Cd1 Cd 0.0000 0.0000 0.0000 1
Cd2 Cd 0.4797 0.5000 0.9032 1
Cu1 Cu 0.3493 0.5000 0.3655 1
Cu2 Cu 0.8478 0.5000 0.3521 1
Si1 Si 0.1372 0.0000 0.5309 1
Si2 Si 0.6413 0.0000 0.5259 1
```

Most intense lines, 2θ from 10° to 80°, low angle first:
h k l, two_theta, Rel. int.
1 1 0, 29.40, 100
1 1 -1, 31.82, 77
0 0 2, 33.74, 54
1 1 1, 36.05, 47
0 1 2, 41.25, 69
2 1 -1, 43.66, 63
2 0 1, 43.94, 38
0 2 0, 47.05, 45



Computed powder XRD pattern of I for Cu Kα, from the PBE geometry in Alexandria.

Cell and atoms:
```
data_I
_chemical_formula_sum 'I4'
_symmetry_space_group_name_H-M 'P 1'
_symmetry_Int_Tables_number 1
_cell_length_a 4.8702
_cell_length_b 6.5676
_cell_length_c 7.0622
_cell_angle_alpha 84.13
_cell_angle_beta 82.16
_cell_angle_gamma 74.42
loop_
_symmetry_equiv_pos_as_xyz
'x,y,z'
loop_
_atom_site_label
_atom_site_type_symbol
_atom_site_fract_x
_atom_site_fract_y
_atom_site_fract_z
_atom_site_occupancy
I1 I 0.0910 0.4081 0.1776 1
I2 I 0.3226 0.1777 0.5916 1
I3 I 0.6774 0.8223 0.4084 1
I4 I 0.9090 0.5919 0.8224 1
```

Most intense lines, 2θ from 10° to 80°, low angle first:
h k l, two_theta, Rel. int.
0 1 1, 18.29, 18
0 1 -1, 19.60, 15
1 1 0, 20.56, 100
0 1 -2, 30.08, 73
1 0 2, 30.23, 71
0 1 3, 40.43, 30
2 2 0, 41.82, 16
0 3 -1, 45.93, 22